Pr2Co3Ge5: calculated powder X-ray diffraction pattern (Cu Kα), based on a DFT-relaxed cell (GGA-PBE, OQMD).
Peak positions follow from Bragg's law for the DFT cell and can differ from measured ones.

a = 8.2647 Å, b = 8.2647 Å, c = 8.2647 Å
α = 106.77°, β = 88.12°, γ = 138.09°
Fractional coordinates of all 20 atoms:
Pr  0.1334  0.2375  0.3709
Pr  0.3666  0.7375  0.1042
Pr  0.6334  0.2625  0.8958
Pr  0.8666  0.7625  0.6291
Co  0.1359  0.8905  0.0263
Co  0.2500  0.7500  0.5000
Co  0.3641  0.3905  0.7546
Co  0.6359  0.6095  0.2454
Co  0.7500  0.2500  0.5000
Co  0.8641  0.1095  0.9737
Ge  0.0144  0.7500  0.2644
Ge  0.0986  0.6560  0.7547
Ge  0.2500  0.2500  0.0000
Ge  0.4014  0.1560  0.5574
Ge  0.4856  0.7500  0.7356
Ge  0.5144  0.2500  0.2644
Ge  0.5986  0.8440  0.4426
Ge  0.7500  0.7500  0.0000
Ge  0.9014  0.3440  0.2453
Ge  0.9856  0.2500  0.7356

Principal peaks in the range 2θ from 5° to 70°, low angle first:
2θ/deg  I/Imax
30.24  15
34.69  95
35.29  89
35.41  100
43.19  96
51.20  35
56.45  19
56.63  23
57.76  16
62.89  17
64.89  20
69.24  14

***

PrCoGe2: calculated powder X-ray diffraction pattern (Cu Kα), based on a DFT-relaxed cell (GGA-PBE, OQMD).
Peak positions follow from Bragg's law for the DFT cell and can differ from measured ones.

a = 8.5986 Å, b = 8.5986 Å, c = 4.2494 Å
α = 90.00°, β = 90.00°, γ = 151.13°
Fractional coordinates of all 8 atoms:
Pr  0.1075  0.8925  0.7500
Pr  0.8925  0.1075  0.2500
Co  0.3157  0.6843  0.7500
Co  0.6843  0.3157  0.2500
Ge  0.2502  0.7498  0.2500
Ge  0.4538  0.5462  0.7500
Ge  0.5462  0.4538  0.2500
Ge  0.7498  0.2502  0.7500

Principal peaks in the range 2θ from 5° to 70°, low angle first:
2θ/deg  I/Imax
30.09  23
33.80  100
34.09  35
38.75  30
42.15  29
42.55  29
48.71  12
53.99  16
55.60  17
58.57  22
61.44  19
69.45  9

***

PrSmCo2Ge2: calculated powder X-ray diffraction pattern (Cu Kα), based on a DFT-relaxed cell (GGA-PBE, OQMD).
Peak positions follow from Bragg's law for the DFT cell and can differ from measured ones.

a = 4.1519 Å, b = 4.1519 Å, c = 6.8462 Å
α = 90.00°, β = 90.00°, γ = 90.00°
Fractional coordinates of all 6 atoms:
Pr  0.0000  0.0000  0.0000
Sm  0.5000  0.5000  0.6239
Co  0.0000  0.5000  0.3193
Co  0.5000  0.0000  0.3193
Ge  0.0000  0.0000  0.5057
Ge  0.5000  0.5000  0.1331

Principal peaks in the range 2θ from 5° to 70°, low angle first:
2θ/deg  I/Imax
12.93  13
25.08  32
26.03  15
30.45  57
33.20  28
33.94  84
40.48  100
43.60  68
56.37  39
58.31  35
60.27  10
63.36  22